This entry pairs a crystal structure of Rb5InMo4O16 with its simulated powder X-ray diffraction pattern. Radiation: Cu Kα (λ = 1.5418 Å). Structure: a PBE+U-relaxed structure.

Structural model:
abc: 11.6548 8.1664 11.3576
angles: 90.00 113.76 90.00
Element x y z (fractional)
1 Rb 0.0000 0.1106 0.2500
2 Rb 0.0000 0.8894 0.7500
3 Rb 0.0937 0.3680 0.6453
4 Rb 0.0937 0.6320 0.1453
5 Rb 0.3971 0.1508 0.8444
6 Rb 0.3971 0.8492 0.3444
7 Rb 0.6029 0.1508 0.6556
8 Rb 0.6029 0.8492 0.1556
9 Rb 0.9063 0.3680 0.8547
10 Rb 0.9063 0.6320 0.3547
11 In 0.5000 0.4139 0.2500
12 In 0.5000 0.5861 0.7500
13 Mo 0.2174 0.1603 0.0578
14 Mo 0.2174 0.8397 0.5578
15 Mo 0.3053 0.3544 0.4442
16 Mo 0.3053 0.6456 0.9442
17 Mo 0.6947 0.3544 0.0558
18 Mo 0.6947 0.6456 0.5558
19 Mo 0.7826 0.1603 0.4422
20 Mo 0.7826 0.8397 0.9422
21 O 0.1284 0.2941 0.1117
22 O 0.1284 0.7059 0.6117
23 O 0.1448 0.4071 0.3938
24 O 0.1448 0.5929 0.8938
25 O 0.1532 0.1756 0.8861
26 O 0.1532 0.8244 0.3861
27 O 0.1955 0.0416 0.6055
28 O 0.1955 0.9584 0.1055
29 O 0.3218 0.1436 0.4194
30 O 0.3218 0.8564 0.9194
31 O 0.3750 0.4700 0.3516
32 O 0.3750 0.5300 0.8516
33 O 0.3854 0.2224 0.1239
34 O 0.3854 0.7776 0.6239
35 O 0.3857 0.3915 0.6181
36 O 0.3857 0.6085 0.1181
37 O 0.6143 0.3915 0.8819
38 O 0.6143 0.6085 0.3819
39 O 0.6146 0.2224 0.3761
40 O 0.6146 0.7776 0.8761
41 O 0.6250 0.4700 0.1484
42 O 0.6250 0.5300 0.6484
43 O 0.6782 0.1436 0.0806
44 O 0.6782 0.8564 0.5806
45 O 0.8045 0.0416 0.8945
46 O 0.8045 0.9584 0.3945
47 O 0.8468 0.1756 0.6139
48 O 0.8468 0.8244 0.1139
49 O 0.8552 0.4071 0.1062
50 O 0.8552 0.5929 0.6062
51 O 0.8716 0.2941 0.3883
52 O 0.8716 0.7059 0.8883

Main lines, low angle first (2θ = 15–90°):
- 26.02°, d = 3.424 Å, I 100
- 26.36°, d = 3.381 Å, I 48
- 26.72°, d = 3.336 Å, I 63
- 28.40°, d = 3.143 Å, I 48
- 33.01°, d = 2.714 Å, I 35
- 33.87°, d = 2.646 Å, I 22
- 41.12°, d = 2.195 Å, I 22
- 45.00°, d = 2.015 Å, I 15
- 46.55°, d = 1.951 Å, I 15
- 48.86°, d = 1.864 Å, I 15

This entry pairs a crystal structure of TlInMo2O8 with its simulated powder X-ray diffraction pattern. Radiation: Cu Kα (λ = 1.5418 Å). Structure: a PBE+U-relaxed structure.

Structural model:
abc: 15.1963 6.0083 9.0010
angles: 90.00 90.00 90.00
Element x y z (fractional)
1 Tl 0.1269 0.2500 0.0536
2 Tl 0.3731 0.7500 0.5536
3 Tl 0.6269 0.2500 0.4464
4 Tl 0.8731 0.7500 0.9464
5 In 0.1077 0.7500 0.6970
6 In 0.3923 0.2500 0.1970
7 In 0.6077 0.7500 0.8030
8 In 0.8923 0.2500 0.3030
9 Mo 0.0382 0.7500 0.2889
10 Mo 0.2175 0.2500 0.4988
11 Mo 0.2825 0.7500 0.9988
12 Mo 0.4618 0.2500 0.7889
13 Mo 0.5382 0.7500 0.2111
14 Mo 0.7175 0.2500 0.0012
15 Mo 0.7825 0.7500 0.5012
16 Mo 0.9618 0.2500 0.7111
17 O 0.0191 0.0058 0.7841
18 O 0.0191 0.4942 0.7841
19 O 0.0374 0.7500 0.4878
20 O 0.1413 0.2500 0.3543
21 O 0.1460 0.7500 0.2199
22 O 0.1745 0.7500 0.9093
23 O 0.1975 0.5014 0.6060
24 O 0.1975 0.9986 0.6060
25 O 0.3025 0.0014 0.1060
26 O 0.3025 0.4986 0.1060
27 O 0.3255 0.2500 0.4093
28 O 0.3540 0.2500 0.7199
29 O 0.3587 0.7500 0.8543
30 O 0.4626 0.2500 0.9878
31 O 0.4809 0.5058 0.2841
32 O 0.4809 0.9942 0.2841
33 O 0.5191 0.0058 0.7159
34 O 0.5191 0.4942 0.7159
35 O 0.5374 0.7500 0.0122
36 O 0.6413 0.2500 0.1457
37 O 0.6460 0.7500 0.2801
38 O 0.6745 0.7500 0.5907
39 O 0.6975 0.5014 0.8940
40 O 0.6975 0.9986 0.8940
41 O 0.8025 0.0014 0.3940
42 O 0.8025 0.4986 0.3940
43 O 0.8255 0.2500 0.0907
44 O 0.8540 0.2500 0.7801
45 O 0.8587 0.7500 0.6457
46 O 0.9626 0.2500 0.5122
47 O 0.9809 0.5058 0.2159
48 O 0.9809 0.9942 0.2159

Main lines, low angle first (2θ = 15–90°):
- 20.58°, d = 4.315 Å, I 16
- 22.97°, d = 3.872 Å, I 34
- 25.03°, d = 3.557 Å, I 86
- 27.40°, d = 3.255 Å, I 100
- 27.78°, d = 3.211 Å, I 20
- 29.54°, d = 3.024 Å, I 40
- 29.74°, d = 3.004 Å, I 52
- 46.68°, d = 1.946 Å, I 17
- 51.36°, d = 1.779 Å, I 18
- 52.62°, d = 1.739 Å, I 16

This entry pairs a crystal structure of NaInW2O8 with its simulated powder X-ray diffraction pattern. Radiation: Cu Kα (λ = 1.5418 Å). Structure: a PBE+U-relaxed structure.

Structural model:
abc: 10.2460 5.9297 5.1663
angles: 90.00 91.54 90.00
Element x y z (fractional)
1 Na 0.0000 0.1799 0.2500
2 Na 0.0000 0.8201 0.7500
3 In 0.5000 0.1794 0.2500
4 In 0.5000 0.8206 0.7500
5 W 0.2568 0.3288 0.7494
6 W 0.2568 0.6712 0.2494
7 W 0.7432 0.3288 0.7506
8 W 0.7432 0.6712 0.2506
9 O 0.1415 0.1332 0.6222
10 O 0.1415 0.8668 0.1222
11 O 0.1672 0.4048 0.0599
12 O 0.1672 0.5952 0.5599
13 O 0.3671 0.3937 0.4441
14 O 0.3671 0.6063 0.9441
15 O 0.3842 0.1260 0.8955
16 O 0.3842 0.8740 0.3955
17 O 0.6158 0.1260 0.6045
18 O 0.6158 0.8740 0.1045
19 O 0.6329 0.3937 0.0559
20 O 0.6329 0.6063 0.5559
21 O 0.8328 0.4048 0.4401
22 O 0.8328 0.5952 0.9401
23 O 0.8585 0.1332 0.8778
24 O 0.8585 0.8668 0.3778

Main lines, low angle first (2θ = 15–90°):
- 17.31°, d = 5.121 Å, I 51
- 22.83°, d = 3.894 Å, I 38
- 22.95°, d = 3.876 Å, I 53
- 28.51°, d = 3.131 Å, I 100
- 29.09°, d = 3.070 Å, I 94
- 34.74°, d = 2.582 Å, I 30
- 34.90°, d = 2.571 Å, I 39
- 35.04°, d = 2.561 Å, I 22
- 49.43°, d = 1.844 Å, I 45
- 50.65°, d = 1.802 Å, I 25

This entry pairs a crystal structure of NaInW2O6 with its simulated powder X-ray diffraction pattern. Radiation: Cu Kα (λ = 1.5418 Å). Structure: a PBE+U-relaxed structure.

Structural model:
abc: 5.6821 5.6821 5.6821
angles: 60.00 60.00 60.00
Element x y z (fractional)
1 Na 0.0000 0.0000 0.0000
2 In 0.5000 0.5000 0.5000
3 W 0.2500 0.2500 0.2500
4 W 0.7500 0.7500 0.7500
5 O 0.0000 0.0000 0.5000
6 O 0.0000 0.5000 0.0000
7 O 0.0000 0.5000 0.5000
8 O 0.5000 0.0000 0.0000
9 O 0.5000 0.0000 0.5000
10 O 0.5000 0.5000 0.0000

Main lines, low angle first (2θ = 15–90°):
- 19.13°, d = 4.639 Å, I 9
- 22.12°, d = 4.018 Å, I 36
- 31.49°, d = 2.841 Å, I 100
- 45.13°, d = 2.009 Å, I 30
- 50.81°, d = 1.797 Å, I 15
- 56.07°, d = 1.640 Å, I 40
- 65.74°, d = 1.421 Å, I 18
- 70.29°, d = 1.339 Å, I 7
- 74.71°, d = 1.271 Å, I 17
- 83.31°, d = 1.160 Å, I 6

This entry pairs a crystal structure of Sr3InNiO6 with its simulated powder X-ray diffraction pattern. Radiation: Cu Kα (λ = 1.5418 Å). Structure: a PBE+U-relaxed structure.

Structural model:
abc: 6.7127 6.7127 13.7668
angles: 91.85 91.85 92.91
Element x y z (fractional)
1 Sr 0.0000 0.0000 0.0000
2 Sr 0.1275 0.4995 0.9342
3 Sr 0.1299 0.5004 0.4345
4 Sr 0.2620 0.3678 0.1849
5 Sr 0.2626 0.3656 0.6839
6 Sr 0.4996 0.8701 0.5655
7 Sr 0.5005 0.8725 0.0658
8 Sr 0.6322 0.7380 0.8151
9 Sr 0.6344 0.7374 0.3161
10 Sr 0.7610 0.2364 0.7501
11 Sr 0.7636 0.2390 0.2499
12 Sr 0.9994 0.0006 0.5000
13 In 0.1331 0.8647 0.2508
14 In 0.1353 0.8669 0.7492
15 In 0.6274 0.3726 0.0000
16 In 0.6281 0.3719 0.5000
17 Ni 0.3812 0.1182 0.3749
18 Ni 0.3805 0.1189 0.8754
19 Ni 0.8811 0.6195 0.1246
20 Ni 0.8818 0.6188 0.6251
21 O 0.0940 0.1559 0.3307
22 O 0.0979 0.1556 0.8321
23 O 0.1587 0.7036 0.1024
24 O 0.1652 0.7053 0.6021
25 O 0.2947 0.8348 0.3979
26 O 0.2964 0.8413 0.8976
27 O 0.3391 0.2139 0.5193
28 O 0.3392 0.2174 0.0231
29 O 0.4226 0.0225 0.2302
30 O 0.4237 0.0221 0.7275
31 O 0.4639 0.3957 0.8526
32 O 0.4690 0.4033 0.3518
33 O 0.5967 0.5310 0.6482
34 O 0.6043 0.5361 0.1474
35 O 0.6643 0.0826 0.9187
36 O 0.6680 0.0815 0.4187
37 O 0.7826 0.6608 0.9769
38 O 0.7861 0.6609 0.4807
39 O 0.8444 0.9021 0.1679
40 O 0.8441 0.9060 0.6693
41 O 0.9174 0.3357 0.0813
42 O 0.9185 0.3320 0.5813
43 O 0.9775 0.5774 0.7698
44 O 0.9779 0.5763 0.2725

Main lines, low angle first (2θ = 15–90°):
- 18.19°, d = 4.876 Å, I 24
- 29.60°, d = 3.018 Å, I 30
- 30.07°, d = 2.972 Å, I 32
- 30.45°, d = 2.936 Å, I 29
- 31.71°, d = 2.822 Å, I 48
- 31.82°, d = 2.812 Å, I 100
- 38.14°, d = 2.360 Å, I 26
- 43.65°, d = 2.073 Å, I 20
- 44.86°, d = 2.020 Å, I 17
- 56.79°, d = 1.621 Å, I 19

This entry pairs a crystal structure of Sr3InNiO6 with its simulated powder X-ray diffraction pattern. Radiation: Cu Kα (λ = 1.5418 Å). Structure: a PBE+U-relaxed structure.

Structural model:
abc: 6.7712 6.7712 6.7712
angles: 92.14 92.14 92.14
Element x y z (fractional)
1 Sr 0.1212 0.7500 0.3788
2 Sr 0.2500 0.6212 0.8788
3 Sr 0.3788 0.1212 0.7500
4 Sr 0.6212 0.8788 0.2500
5 Sr 0.7500 0.3788 0.1212
6 Sr 0.8788 0.2500 0.6212
7 In 0.2500 0.2500 0.2500
8 In 0.7500 0.7500 0.7500
9 Ni 0.0000 0.0000 0.0000
10 Ni 0.5000 0.5000 0.5000
11 O 0.0399 0.9109 0.7115
12 O 0.0891 0.2885 0.9601
13 O 0.2115 0.4109 0.5399
14 O 0.2885 0.9601 0.0891
15 O 0.4109 0.5399 0.2115
16 O 0.4601 0.7885 0.5891
17 O 0.5399 0.2115 0.4109
18 O 0.5891 0.4601 0.7885
19 O 0.7115 0.0399 0.9109
20 O 0.7885 0.5891 0.4601
21 O 0.9109 0.7115 0.0399
22 O 0.9601 0.0891 0.2885

Main lines, low angle first (2θ = 15–90°):
- 18.19°, d = 4.876 Å, I 17
- 30.01°, d = 2.978 Å, I 64
- 31.78°, d = 2.815 Å, I 100
- 38.38°, d = 2.346 Å, I 29
- 39.28°, d = 2.294 Å, I 20
- 42.78°, d = 2.114 Å, I 30
- 44.27°, d = 2.046 Å, I 36
- 56.63°, d = 1.625 Å, I 16
- 57.72°, d = 1.597 Å, I 27
- 59.08°, d = 1.564 Å, I 17